No. 1
For AlPO4, a DFT-relaxed cell (GGA-PBE, the Materials Project) gives the calculated powder diffraction line list in this record (Cu Kα (λ = 1.5418 Å)).

Principal peaks in the range 10 to 90 degrees two-theta, in order of falling intensity:
- 21.16°, I = 100.0
- 34.68°, I = 24.0
- 54.73°, I = 12.4
- 41.53°, I = 6.4
- 62.98°, I = 5.7
- 43.08°, I = 5.0
- 61.74°, I = 4.7
- 78.65°, I = 4.5
- 76.41°, I = 3.8
- 35.31°, I = 3.6

Structural model:
```
AlPO4
1.0
5.0832 0.0000 0.0000
0.0000 5.0832 0.0000
0.0000 0.0000 7.4522
Al P O
2 2 8
direct
0.0000 0.0000 0.0000
0.5000 0.5000 0.5000
0.0000 0.5000 0.2500
0.5000 0.0000 0.7500
0.0924 0.7309 0.1325
0.2309 0.4076 0.3675
0.2691 0.0924 0.8675
0.4076 0.7691 0.6325
0.5924 0.2309 0.6325
0.7309 0.9076 0.8675
0.7691 0.5924 0.3675
0.9076 0.2691 0.1325
```


No. 2
For CaSn2P2O10, a DFT-relaxed cell (GGA-PBE, the Materials Project) gives the calculated powder diffraction line list in this record (Cu Kα (λ = 1.5418 Å)).

Principal peaks in the range 10 to 90 degrees two-theta, in order of falling intensity:
- 29.92°, I = 100.0
- 30.17°, I = 51.2
- 25.80°, I = 46.6
- 14.82°, I = 44.1
- 53.05°, I = 37.3
- 21.14°, I = 30.0
- 43.05°, I = 27.4
- 21.28°, I = 20.4
- 39.89°, I = 19.4
- 62.28°, I = 16.0

Structural model:
```
CaSn2P2O10
1.0
0.0000 8.3523 3.7909
5.9804 0.0000 3.7909
5.9804 8.3523 0.0000
Ca Sn P O
2 4 4 20
direct
0.0000 0.0000 0.0000
0.2500 0.2500 0.2500
0.1130 0.6240 0.6333
0.6167 0.6203 0.1370
0.6203 0.6167 0.6260
0.6240 0.1130 0.6297
0.0387 0.4515 0.0491
0.2009 0.7893 0.2113
0.4515 0.0387 0.4607
0.7893 0.2009 0.7985
0.0610 0.3795 0.9145
0.1716 0.8641 0.3485
0.2439 0.9277 0.5529
0.2692 0.5461 0.9292
0.3208 0.9945 0.9808
0.3355 0.6049 0.1890
0.3795 0.0610 0.6451
0.4103 0.5755 0.4336
0.5461 0.2692 0.2555
0.5755 0.4103 0.5807
0.6049 0.3355 0.8705
0.6342 0.9015 0.3859
0.6693 0.8164 0.6745
0.6971 0.9745 0.0061
0.8164 0.6693 0.8397
0.8641 0.1716 0.6158
0.9015 0.6342 0.0784
0.9277 0.2439 0.2755
0.9745 0.6971 0.3223
0.9945 0.3208 0.7039
```


No. 3
For Sr2CaNbO6, a DFT-relaxed cell (GGA-PBE, the Materials Project) gives the calculated powder diffraction line list in this record (Cu Kα (λ = 1.5418 Å)).

Principal peaks in the range 10 to 90 degrees two-theta, in order of falling intensity:
- 29.89°, I = 100.0
- 30.55°, I = 64.2
- 53.88°, I = 49.5
- 43.74°, I = 31.7
- 52.65°, I = 26.3
- 41.80°, I = 22.8
- 62.10°, I = 20.6
- 18.30°, I = 19.2
- 87.04°, I = 15.6
- 85.39°, I = 13.5

Structural model:
```
Sr2CaNbO6
1.0
8.2778 0.0000 0.0000
0.0000 8.2778 0.0000
0.0000 0.0000 8.6441
Sr Ca Nb O
8 4 4 24
direct
0.2493 0.2502 0.2518
0.2499 0.2500 0.7478
0.2500 0.7501 0.2522
0.2502 0.7507 0.7482
0.7498 0.2493 0.7482
0.7500 0.2499 0.2522
0.7501 0.7500 0.7478
0.7507 0.7498 0.2518
0.0000 0.0000 0.0000
0.0000 0.5000 0.5011
0.5000 0.0000 0.4989
0.5000 0.5000 0.0000
0.0000 0.0000 0.5000
0.0000 0.5000 0.0008
0.5000 0.0000 0.9992
0.5000 0.5000 0.5000
0.0000 0.0000 0.2653
0.0000 0.0000 0.7347
0.0000 0.5000 0.2353
0.0000 0.5000 0.7680
0.0752 0.7688 0.5013
0.0791 0.7308 0.0028
0.2312 0.0752 0.4987
0.2307 0.4209 0.0018
0.2679 0.4264 0.5000
0.2692 0.0791 0.9972
0.4209 0.7693 0.9982
0.4264 0.7321 0.5000
0.5000 0.0000 0.2320
0.5000 0.0000 0.7647
0.5000 0.5000 0.2659
0.5000 0.5000 0.7341
0.5736 0.2679 0.5000
0.5791 0.2307 0.9982
0.7308 0.9209 0.9972
0.7321 0.5736 0.5000
0.7693 0.5791 0.0018
0.7688 0.9248 0.4987
0.9209 0.2692 0.0028
0.9248 0.2312 0.5013
```


No. 4
For YSn2O4, a DFT-relaxed cell (GGA-PBE, the Materials Project) gives the calculated powder diffraction line list in this record (Cu Kα (λ = 1.5418 Å)).

Principal peaks in the range 10 to 90 degrees two-theta, in order of falling intensity:
- 30.49°, I = 100.0
- 31.09°, I = 45.2
- 51.46°, I = 44.1
- 29.26°, I = 42.7
- 54.55°, I = 39.8
- 36.80°, I = 38.8
- 32.31°, I = 33.1
- 15.99°, I = 29.5
- 49.33°, I = 26.5
- 48.51°, I = 25.4

Structural model:
```
YSn2O4
1.0
3.3648 1.9427 5.9726
-3.3648 1.9427 5.9726
0.0000 -3.8853 5.9726
Y Sn O
2 4 8
direct
0.1336 0.1336 0.1336
0.8664 0.8664 0.8664
0.0000 0.5000 0.5000
0.5000 0.0000 0.5000
0.5000 0.5000 0.0000
0.5000 0.5000 0.5000
0.2501 0.2501 0.2501
0.2682 0.7194 0.7194
0.2806 0.2806 0.7318
0.2806 0.7318 0.2806
0.7194 0.2682 0.7194
0.7194 0.7194 0.2682
0.7318 0.2806 0.2806
0.7499 0.7499 0.7499
```


No. 5
For PrNiAs, a DFT-relaxed cell (GGA-PBE, the Materials Project) gives the calculated powder diffraction line list in this record (Cu Kα (λ = 1.5418 Å)).

Principal peaks in the range 10 to 90 degrees two-theta, in order of falling intensity:
- 33.23°, I = 100.0
- 43.65°, I = 41.5
- 64.02°, I = 25.8
- 55.94°, I = 22.2
- 73.53°, I = 19.4
- 44.40°, I = 13.1
- 24.79°, I = 11.4
- 74.61°, I = 9.3
- 80.18°, I = 6.7
- 51.51°, I = 3.3

Structural model:
```
PrNiAs
1.0
4.1470 0.0000 0.0000
-2.0735 3.5914 0.0000
0.0000 0.0000 16.3226
Pr Ni As
4 4 4
direct
0.0000 0.0000 0.0000
0.0000 0.0000 0.2500
0.0000 0.0000 0.5000
0.0000 0.0000 0.7500
0.3333 0.6667 0.1259
0.3333 0.6667 0.3741
0.6667 0.3333 0.6259
0.6667 0.3333 0.8741
0.3333 0.6667 0.6242
0.3333 0.6667 0.8758
0.6667 0.3333 0.1242
0.6667 0.3333 0.3758
```